Starting from a crystal structure in Alexandria, relaxed with GGA-PBE, the X-ray diffraction stick pattern of Sm4Dy4Tm5 was simulated for a wavelength of 1.5418 Å.

Top 6 peaks for 2θ from 10° to 90°, in order of rising 2θ:
30.9°, 2.895 Å, I = 100, hkl 2 3 1
35.8°, 2.510 Å, I = 34, hkl 5 1 0
35.9°, 2.502 Å, I = 17, hkl 0 0 2
51.5°, 1.773 Å, I = 36, hkl 5 1 2
61.3°, 1.513 Å, I = 28, hkl 7 4 1
61.4°, 1.510 Å, I = 14, hkl 2 3 3

Cell: 12.799 12.799 5.005 Å, 90.00 90.00 90.00°
Space group I4/m (No. 87)
Asymmetric unit:
Sm 0.078 0.617 0.000 x8
Dy 0.153 0.229 0.000 x8
Tm 0.000 0.000 0.000 x2
Tm 0.039 0.810 0.500 x8



Starting from a crystal structure in Alexandria, relaxed with GGA-PBE, the X-ray diffraction stick pattern of Sm4DyTm8 was simulated for a wavelength of 1.5418 Å.

Top 6 peaks for 2θ from 10° to 90°, in order of rising 2θ:
19.9°, 4.456 Å, I = 10, hkl 1 1 1
32.8°, 2.729 Å, I = 100, hkl 2 2 0
47.1°, 1.930 Å, I = 18, hkl 4 0 0
58.6°, 1.575 Å, I = 37, hkl 4 2 2
68.8°, 1.364 Å, I = 11, hkl 4 4 0
78.4°, 1.220 Å, I = 15, hkl 6 2 0

Cell: 7.718 7.718 7.718 Å, 90.00 90.00 90.00°
Space group Pm-3m (No. 221)
Asymmetric unit:
Sm 0.000 0.000 0.000 x1
Sm 0.000 0.500 0.500 x3
Dy 0.500 0.500 0.500 x1
Tm 0.240 0.240 0.240 x8



Starting from a crystal structure in Alexandria, relaxed with GGA-PBE, the X-ray diffraction stick pattern of SmDyTm5 was simulated for a wavelength of 1.5418 Å.

Top 6 peaks for 2θ from 10° to 90°, in order of rising 2θ:
30.9°, 2.892 Å, I = 100, hkl 3 1 -3
31.3°, 2.857 Å, I = 51, hkl 3 1 1
31.6°, 2.830 Å, I = 59, hkl 0 0 4
33.6°, 2.664 Å, I = 27, hkl 2 2 1
35.9°, 2.501 Å, I = 22, hkl 2 2 -3
57.4°, 1.605 Å, I = 20, hkl 6 2 -4

Cell: 11.516 6.730 12.008 Å, 90.00 109.51 90.00°
Space group C2/c (No. 15)
Asymmetric unit:
Sm 0.000 0.025 0.250 x4
Dy 0.250 0.250 0.000 x4
Tm 0.000 0.413 0.750 x4
Tm 0.078 0.275 0.499 x8
Tm 0.220 0.359 0.250 x8



Starting from a crystal structure in Alexandria, relaxed with GGA-PBE, the X-ray diffraction stick pattern of SmDy3Tm5 was simulated for a wavelength of 1.5418 Å.

Top 6 peaks for 2θ from 10° to 90°, in order of rising 2θ:
29.7°, 3.009 Å, I = 60, hkl 0 1 3
31.0°, 2.887 Å, I = 61, hkl 0 6 0
31.1°, 2.878 Å, I = 100, hkl 2 3 1
33.5°, 2.674 Å, I = 66, hkl 2 2 2
39.3°, 2.292 Å, I = 36, hkl 0 5 3
58.9°, 1.569 Å, I = 31, hkl 2 3 5

Cell: 7.122 17.323 9.166 Å, 90.00 90.00 90.00°
Space group Imma (No. 74)
Asymmetric unit:
Sm 0.000 0.250 0.049 x4
Dy 0.000 0.061 0.748 x8
Dy 0.250 0.250 0.750 x4
Tm 0.000 0.250 0.407 x4
Tm 0.248 0.088 0.069 x16



Starting from a crystal structure in Alexandria, relaxed with GGA-PBE, the X-ray diffraction stick pattern of Sm2Dy3Tm9 was simulated for a wavelength of 1.5418 Å.

Top 6 peaks for 2θ from 10° to 90°, in order of rising 2θ:
30.5°, 2.934 Å, I = 49, hkl 0 2 2
31.7°, 2.823 Å, I = 52, hkl 2 2 1
32.0°, 2.794 Å, I = 86, hkl 1 2 -2
32.3°, 2.774 Å, I = 78, hkl 1 -2 1
32.5°, 2.753 Å, I = 49, hkl 1 0 3
32.9°, 2.726 Å, I = 100, hkl 2 0 -1

Cell: 6.359 8.295 8.825 Å, 87.04 82.54 70.91°
Space group P1 (No. 1)
Asymmetric unit:
Sm 0.000 0.000 0.000 x1
Sm 0.144 0.648 0.198 x1
Dy 0.354 0.094 0.749 x1
Dy 0.526 0.298 0.036 x1
Dy 0.683 0.607 0.411 x1
Tm 0.075 0.254 0.256 x1
Tm 0.203 0.904 0.458 x1
Tm 0.230 0.447 0.536 x1
Tm 0.397 0.658 0.789 x1
Tm 0.546 0.857 0.080 x1
Tm 0.650 0.059 0.374 x1
Tm 0.807 0.251 0.658 x1
Tm 0.840 0.816 0.702 x1
Tm 0.964 0.465 0.918 x1



Starting from a crystal structure in Alexandria, relaxed with GGA-PBE, the X-ray diffraction stick pattern of SmDy12Tm5 was simulated for a wavelength of 1.5418 Å.

Top 6 peaks for 2θ from 10° to 90°, in order of rising 2θ:
31.0°, 2.882 Å, I = 100, hkl 3 1 0
36.0°, 2.496 Å, I = 51, hkl 3 0 3
51.8°, 1.765 Å, I = 36, hkl 6 0 0
61.6°, 1.505 Å, I = 29, hkl 3 1 6
61.7°, 1.504 Å, I = 14, hkl 6 1 3
64.7°, 1.441 Å, I = 12, hkl 6 2 0

Cell: 10.585 4.990 10.596 Å, 90.00 90.11 90.00°
Space group P2/m (No. 10)
Asymmetric unit:
Sm 0.000 0.000 0.000 x1
Dy 0.001 0.000 0.666 x2
Dy 0.167 0.500 0.167 x2
Dy 0.168 0.500 0.501 x2
Dy 0.334 0.000 0.000 x2
Dy 0.334 0.000 0.334 x2
Dy 0.499 0.500 0.832 x2
Tm 0.168 0.500 0.832 x2
Tm 0.333 0.000 0.667 x2
Tm 0.500 0.500 0.500 x1



Starting from a crystal structure in Alexandria, relaxed with GGA-PBE, the X-ray diffraction stick pattern of SmDy7Tm2 was simulated for a wavelength of 1.5418 Å.

Top 6 peaks for 2θ from 10° to 90°, in order of rising 2θ:
31.0°, 2.888 Å, I = 100, hkl 1 0 2
35.9°, 2.501 Å, I = 51, hkl 1 2 0
51.7°, 1.769 Å, I = 30, hkl 3 0 1
61.5°, 1.509 Å, I = 29, hkl 2 2 2
61.5°, 1.507 Å, I = 14, hkl 4 -2 0
64.5°, 1.444 Å, I = 9, hkl 2 0 4

Cell: 6.119 7.077 7.908 Å, 102.90 97.36 106.72°
Space group P-1 (No. 2)
Asymmetric unit:
Sm 0.000 0.000 0.000 x1
Dy 0.000 0.500 0.000 x1
Dy 0.200 0.900 0.400 x2
Dy 0.201 0.400 0.400 x2
Dy 0.399 0.799 0.799 x2
Tm 0.401 0.300 0.800 x2



Starting from a crystal structure in Alexandria, relaxed with GGA-PBE, the X-ray diffraction stick pattern of Sm6DyTm2 was simulated for a wavelength of 1.5418 Å.

Top 6 peaks for 2θ from 10° to 90°, in order of rising 2θ:
31.4°, 2.849 Å, I = 100, hkl 2 0 -2
31.6°, 2.828 Å, I = 54, hkl 1 3 -1
45.0°, 2.013 Å, I = 18, hkl 4 2 2
56.1°, 1.640 Å, I = 19, hkl 3 3 -3
56.3°, 1.634 Å, I = 10, hkl 5 5 1
62.4°, 1.488 Å, I = 15, hkl 11 3 1

Cell: 21.750 9.771 5.698 Å, 90.00 105.16 90.00°
Space group C2/c (No. 15)
Asymmetric unit:
Sm 0.084 0.081 0.317 x8
Sm 0.085 0.416 0.350 x8
Sm 0.169 0.251 0.919 x8
Dy 0.000 0.251 0.750 x4
Tm 0.250 0.083 0.511 x8



Starting from a crystal structure in Alexandria, relaxed with GGA-PBE, the X-ray diffraction stick pattern of Sm5Dy3Tm2 was simulated for a wavelength of 1.5418 Å.

Top 6 peaks for 2θ from 10° to 90°, in order of rising 2θ:
30.0°, 2.980 Å, I = 100, hkl 2 2 -3
30.8°, 2.903 Å, I = 94, hkl 2 4 0
32.1°, 2.785 Å, I = 24, hkl 0 4 2
33.6°, 2.669 Å, I = 46, hkl 4 0 -2
37.2°, 2.418 Å, I = 23, hkl 2 0 2
49.1°, 1.857 Å, I = 21, hkl 0 6 3

Cell: 10.675 15.288 9.717 Å, 90.00 123.15 90.00°
Space group C2/c (No. 15)
Asymmetric unit:
Sm 0.000 0.025 0.250 x4
Sm 0.000 0.232 0.250 x4
Sm 0.000 0.272 0.750 x4
Sm 0.234 0.384 0.222 x8
Dy 0.000 0.470 0.750 x4
Dy 0.144 0.124 0.051 x8
Tm 0.157 0.381 0.550 x8



Starting from a crystal structure in Alexandria, relaxed with GGA-PBE, the X-ray diffraction stick pattern of SmDy6Tm5 was simulated for a wavelength of 1.5418 Å.

Top 6 peaks for 2θ from 10° to 90°, in order of rising 2θ:
31.1°, 2.878 Å, I = 100, hkl 1 3 2
36.0°, 2.492 Å, I = 51, hkl 2 0 0
51.9°, 1.762 Å, I = 36, hkl 2 6 0
61.7°, 1.503 Å, I = 43, hkl 3 3 2
64.8°, 1.439 Å, I = 12, hkl 2 6 4
84.8°, 1.144 Å, I = 18, hkl 3 9 2

Cell: 4.981 14.966 9.968 Å, 90.00 90.00 90.00°
Space group Cmmm (No. 65)
Asymmetric unit:
Sm 0.000 0.000 0.000 x2
Dy 0.000 0.167 0.251 x8
Dy 0.000 0.500 0.252 x4
Tm 0.000 0.000 0.500 x2
Tm 0.000 0.332 0.000 x4
Tm 0.000 0.333 0.500 x4



Starting from a crystal structure in Alexandria, relaxed with GGA-PBE, the X-ray diffraction stick pattern of Sm7DyTm3 was simulated for a wavelength of 1.5418 Å.

Top 6 peaks for 2θ from 10° to 90°, in order of rising 2θ:
29.0°, 3.081 Å, I = 31, hkl 2 2 -2
31.4°, 2.846 Å, I = 52, hkl 6 0 0
32.0°, 2.793 Å, I = 100, hkl 0 0 4
33.7°, 2.661 Å, I = 30, hkl 6 0 -4
33.8°, 2.651 Å, I = 57, hkl 2 2 2
50.9°, 1.794 Å, I = 26, hkl 4 2 -6

Cell: 18.998 7.152 12.444 Å, 90.00 116.01 90.00°
Space group C2/c (No. 15)
Asymmetric unit:
Sm 0.000 0.227 0.250 x4
Sm 0.161 0.495 0.775 x8
Sm 0.168 0.248 0.028 x8
Sm 0.168 0.249 0.530 x8
Dy 0.000 0.000 0.000 x4
Tm 0.000 0.500 0.000 x4
Tm 0.170 0.002 0.276 x8